Structure and calculated XRD peak list of Na4WO5 (a cell relaxed with PBE+U; Cu Ka).
No peak broadening, texture or thermal motion is included.

Atomic structure:
```
Na4WO5
1.0
5.747 0.000 0.000
-1.817 6.289 0.000
-1.130 -2.137 6.946
Na W O
8 2 10
Direct
0.000 0.000 0.000
0.000 0.500 0.000
0.183 0.395 0.391
0.199 0.895 0.397
0.405 0.802 0.798
0.595 0.198 0.202
0.801 0.105 0.603
0.817 0.605 0.609
0.396 0.295 0.792
0.604 0.705 0.208
0.145 0.011 0.729
0.151 0.432 0.713
0.344 0.382 0.078
0.351 0.822 0.116
0.487 0.270 0.553
0.513 0.730 0.447
0.649 0.178 0.884
0.656 0.618 0.922
0.849 0.568 0.287
0.855 0.989 0.271
```

Main lines, most intense first (2θ = 5–70°):
| 2theta | d [Å] | intensity | h k l |
| --- | --- | --- | --- |
| 16.46 | 5.386 | 100 | 0 1 -1 |
| 38.86 | 2.318 | 61 | 1 2 0 |
| 18.36 | 4.831 | 30 | 1 0 -1 |
| 18.21 | 4.872 | 29 | 1 -1 0 |
| 38.56 | 2.335 | 28 | 1 0 -3 |
| 22.22 | 4.000 | 22 | 0 1 1 |
| 25.64 | 3.474 | 18 | 0 0 2 |
| 22.02 | 4.037 | 17 | 1 -1 1 |
| 56.24 | 1.636 | 16 | 1 -4 1 |
| 32.83 | 2.728 | 16 | 2 0 -1 |